For AgPbF6, the PBE geometry in the Materials Project gives the theoretical X-ray powder pattern in this record (CuKα).
Neutral-atom scattering factors, no anomalous dispersion.

Structure:
Cell: 5.571 5.618 5.924 Å, 63.16 89.40 62.09°
Element x y z (fractional)
1 Ag 0.000 0.000 0.000
2 Pb 0.500 0.000 0.500
3 F 0.137 0.111 0.256
4 F 0.246 0.130 0.748
5 F 0.395 0.459 0.274
6 F 0.605 0.541 0.726
7 F 0.754 0.870 0.252
8 F 0.863 0.889 0.744

Most intense lines, 10° ≤ 2θ ≤ 90°, sorted by position:
| index | Position (°2θ) | I_rel |
| --- | --- | --- |
| 0 1 0 | 20.7 | 100 |
| 1 1 1 | 21.9 | 86 |
| 1 0 -1 | 22.0 | 86 |
| 1 0 1 | 28.7 | 37 |
| 1 1 -1 | 29.8 | 31 |
| 0 1 2 | 30.3 | 31 |
| -1 1 1 | 31.1 | 24 |
| 1 2 1 | 31.9 | 19 |
| 2 1 0 | 32.2 | 20 |
| 0 2 0 | 42.2 | 18 |
| 1 2 3 | 49.1 | 25 |
| 3 0 -1 | 56.2 | 16 |